For Ce3NbH8, the PBE geometry in Alexandria gives the computed PXRD pattern in this record (copper Kα).
Lines closer than 0.1° are merged.

Atomic structure:
```
data_Ce3NbH8
_cell_length_a 5.191
_cell_length_b 5.191
_cell_length_c 5.191
_cell_angle_alpha 90.00
_cell_angle_beta 90.00
_cell_angle_gamma 90.00
_symmetry_space_group_name_H-M 'P m -3 m'
_symmetry_Int_Tables_number 221
_symmetry_space_group_name_Hall '-P 4 2 3'
loop_
_atom_site_label
_atom_site_type_symbol
_atom_site_fract_x
_atom_site_fract_y
_atom_site_fract_z
_atom_site_occupancy
Ce1 Ce 0.000 0.000 0.500 1
Nb1 Nb 0.500 0.500 0.500 1
H1 H 0.280 0.280 0.280 1
```

Most intense lines, 10 to 90 degrees two-theta, most intense first:
2.997 Å, I = 100
2.595 Å, I = 48
1.565 Å, I = 43
1.835 Å, I = 37
1.191 Å, I = 17
1.161 Å, I = 16

For CeNdH4, the PBE geometry in Alexandria gives the computed PXRD pattern in this record (copper Kα).
Lines closer than 0.1° are merged.

Atomic structure:
```
data_CeNdH4
_cell_length_a 3.862
_cell_length_b 3.862
_cell_length_c 5.475
_cell_angle_alpha 90.00
_cell_angle_beta 90.00
_cell_angle_gamma 90.00
_symmetry_space_group_name_H-M 'P 4/m m m'
_symmetry_Int_Tables_number 123
_symmetry_space_group_name_Hall '-P 4 2'
loop_
_atom_site_label
_atom_site_type_symbol
_atom_site_fract_x
_atom_site_fract_y
_atom_site_fract_z
_atom_site_occupancy
Ce1 Ce 0.000 0.000 0.000 1
Nd1 Nd 0.500 0.500 0.500 1
H1 H 0.000 0.500 0.248 1
```

Most intense lines, 10 to 90 degrees two-theta, most intense first:
3.156 Å, I = 100
2.733 Å, I = 49
1.933 Å, I = 38
1.647 Å, I = 30
1.254 Å, I = 18
1.650 Å, I = 15

For CeNd3H8, the PBE geometry in Alexandria gives the computed PXRD pattern in this record (copper Kα).
Lines closer than 0.1° are merged.

Atomic structure:
```
data_CeNd3H8
_cell_length_a 5.476
_cell_length_b 5.476
_cell_length_c 5.476
_cell_angle_alpha 90.00
_cell_angle_beta 90.00
_cell_angle_gamma 90.00
_symmetry_space_group_name_H-M 'P m -3 m'
_symmetry_Int_Tables_number 221
_symmetry_space_group_name_Hall '-P 4 2 3'
loop_
_atom_site_label
_atom_site_type_symbol
_atom_site_fract_x
_atom_site_fract_y
_atom_site_fract_z
_atom_site_occupancy
Ce1 Ce 0.000 0.000 0.000 1
Nd1 Nd 0.000 0.500 0.500 1
H1 H 0.250 0.250 0.250 1
```

Most intense lines, 10 to 90 degrees two-theta, most intense first:
3.162 Å, I = 100
2.738 Å, I = 49
1.651 Å, I = 45
1.936 Å, I = 38
1.256 Å, I = 18
1.225 Å, I = 16

For Ce2Nd4H2Pb3, the PBE geometry in Alexandria gives the computed PXRD pattern in this record (copper Kα).
Lines closer than 0.1° are merged.

Atomic structure:
```
data_Ce2Nd4H2Pb3
_cell_length_a 4.891
_cell_length_b 4.891
_cell_length_c 25.989
_cell_angle_alpha 90.00
_cell_angle_beta 90.00
_cell_angle_gamma 90.00
_symmetry_space_group_name_H-M 'I 4/m m m'
_symmetry_Int_Tables_number 139
_symmetry_space_group_name_Hall '-I 4 2'
loop_
_atom_site_label
_atom_site_type_symbol
_atom_site_fract_x
_atom_site_fract_y
_atom_site_fract_z
_atom_site_occupancy
Ce1 Ce 0.000 0.000 0.198 1
Nd1 Nd 0.000 0.500 0.084 1
H1 H 0.000 0.000 0.103 1
Pb1 Pb 0.000 0.000 0.324 1
Pb2 Pb 0.000 0.000 0.500 1
```

Most intense lines, 10 to 90 degrees two-theta, most intense first:
2.703 Å, I = 100
2.445 Å, I = 51
3.342 Å, I = 32
1.457 Å, I = 31
4.806 Å, I = 22
1.729 Å, I = 18

For Ce2Ni16H, the PBE geometry in Alexandria gives the computed PXRD pattern in this record (copper Kα).
Lines closer than 0.1° are merged.

Atomic structure:
```
data_Ce2Ni16H
_cell_length_a 8.3172
_cell_length_b 8.3172
_cell_length_c 11.9731
_cell_angle_alpha 90.00
_cell_angle_beta 90.00
_cell_angle_gamma 120.00
_symmetry_space_group_name_H-M 'R 3 m'
_symmetry_Int_Tables_number 160
_symmetry_space_group_name_Hall 'R 3 -2"'
loop_
_atom_site_label
_atom_site_type_symbol
_atom_site_fract_x
_atom_site_fract_y
_atom_site_fract_z
_atom_site_occupancy
Ce1 Ce 0.0000 0.0000 0.0000 1
Ce2 Ce 0.0000 0.0000 0.3320 1
Ni1 Ni 0.0000 0.0000 0.6022 1
Ni2 Ni 0.0003 0.2992 0.6743 1
Ni3 Ni 0.0060 0.5030 0.1735 1
Ni4 Ni 0.1670 0.3340 0.1615 1
Ni5 Ni 0.1673 0.3346 0.8519 1
H1 H 0.0000 0.0000 0.7283 1
```

Most intense lines, 10 to 90 degrees two-theta, most intense first:
2.057 Å, I = 100
2.079 Å, I = 44
1.995 Å, I = 39
2.880 Å, I = 39
2.401 Å, I = 28
1.844 Å, I = 22

For CeNiPH, the PBE geometry in Alexandria gives the computed PXRD pattern in this record (copper Kα).
Lines closer than 0.1° are merged.

Atomic structure:
```
data_CeNiPH
_cell_length_a 3.934
_cell_length_b 3.934
_cell_length_c 7.087
_cell_angle_alpha 90.00
_cell_angle_beta 90.00
_cell_angle_gamma 90.00
_symmetry_space_group_name_H-M 'P 4/n m m'
_symmetry_Int_Tables_number 129
loop_
_symmetry_equiv_pos_as_xyz
'x,y,z'
'-x,-y,-z'
'-y+1/2,x,z'
'y+1/2,-x,-z'
'-x+1/2,-y+1/2,z'
'x+1/2,y+1/2,-z'
'y,-x+1/2,z'
'-y,x+1/2,-z'
'x+1/2,-y,-z'
'-x+1/2,y,z'
'-y,-x,-z'
'y,x,z'
'-x,y+1/2,-z'
'x,-y+1/2,z'
'y+1/2,x+1/2,-z'
'-y+1/2,-x+1/2,z'
loop_
_atom_site_label
_atom_site_type_symbol
_atom_site_fract_x
_atom_site_fract_y
_atom_site_fract_z
_atom_site_occupancy
Ce1 Ce 0.250 0.250 0.177 1
Ni1 Ni 0.250 0.750 0.500 1
P1 P 0.250 0.250 0.675 1
H1 H 0.250 0.750 0.000 1
```

Most intense lines, 10 to 90 degrees two-theta, most intense first:
3.439 Å, I = 100
2.633 Å, I = 98
2.188 Å, I = 88
2.589 Å, I = 64
1.967 Å, I = 62
1.576 Å, I = 40

For CeNiH6Pt, the PBE geometry in Alexandria gives the computed PXRD pattern in this record (copper Kα).
Lines closer than 0.1° are merged.

Atomic structure:
```
data_CeNiH6Pt
_cell_length_a 4.6196
_cell_length_b 4.6196
_cell_length_c 4.3010
_cell_angle_alpha 90.00
_cell_angle_beta 90.00
_cell_angle_gamma 120.00
_symmetry_space_group_name_H-M 'P -6 m 2'
_symmetry_Int_Tables_number 187
_symmetry_space_group_name_Hall 'P -6 2'
loop_
_atom_site_label
_atom_site_type_symbol
_atom_site_fract_x
_atom_site_fract_y
_atom_site_fract_z
_atom_site_occupancy
Ce1 Ce 0.0000 0.0000 0.0000 1
Ni1 Ni 0.6667 0.3333 0.5000 1
H1 H 0.5096 0.0193 0.2433 1
Pt1 Pt 0.3333 0.6667 0.5000 1
```

Most intense lines, 10 to 90 degrees two-theta, most intense first:
2.929 Å, I = 100
2.310 Å, I = 48
1.574 Å, I = 30
1.814 Å, I = 25
1.427 Å, I = 23
4.001 Å, I = 15

For CeNiSnH, the PBE geometry in Alexandria gives the computed PXRD pattern in this record (copper Kα).
Lines closer than 0.1° are merged.

Atomic structure:
```
data_CeNiSnH
_cell_length_a 4.5045
_cell_length_b 4.5045
_cell_length_c 3.7528
_cell_angle_alpha 90.00
_cell_angle_beta 90.00
_cell_angle_gamma 120.00
_symmetry_space_group_name_H-M 'P 3 m 1'
_symmetry_Int_Tables_number 156
loop_
_symmetry_equiv_pos_as_xyz
'x,y,z'
'-y,x-y,z'
'-x+y,-x,z'
'-y,-x,z'
'-x+y,y,z'
'x,x-y,z'
loop_
_atom_site_label
_atom_site_type_symbol
_atom_site_fract_x
_atom_site_fract_y
_atom_site_fract_z
_atom_site_occupancy
Ce1 Ce 0.0000 0.0000 0.0000 1
Ni1 Ni 0.6667 0.3333 0.5027 1
Sn1 Sn 0.3333 0.6667 0.4997 1
H1 H 0.6667 0.3333 0.9995 1
```

Most intense lines, 10 to 90 degrees two-theta, most intense first:
2.705 Å, I = 100
2.252 Å, I = 57
1.442 Å, I = 27
1.731 Å, I = 27
1.372 Å, I = 25
1.876 Å, I = 11

For CeTcNiH6, the PBE geometry in Alexandria gives the computed PXRD pattern in this record (copper Kα).
Lines closer than 0.1° are merged.

Atomic structure:
```
data_CeTcNiH6
_cell_length_a 4.5176
_cell_length_b 4.5176
_cell_length_c 4.3958
_cell_angle_alpha 90.00
_cell_angle_beta 90.00
_cell_angle_gamma 120.00
_symmetry_space_group_name_H-M 'P -6 m 2'
_symmetry_Int_Tables_number 187
_symmetry_space_group_name_Hall 'P -6 2'
loop_
_atom_site_label
_atom_site_type_symbol
_atom_site_fract_x
_atom_site_fract_y
_atom_site_fract_z
_atom_site_occupancy
Ce1 Ce 0.0000 0.0000 0.0000 1
Tc1 Tc 0.6667 0.3333 0.5000 1
Ni1 Ni 0.3333 0.6667 0.5000 1
H1 H 0.0026 0.5013 0.2329 1
```

Most intense lines, 10 to 90 degrees two-theta, most intense first:
2.922 Å, I = 100
2.259 Å, I = 44
1.575 Å, I = 29
1.787 Å, I = 24
1.402 Å, I = 21
2.198 Å, I = 13

For CeNpH, the PBE geometry in Alexandria gives the computed PXRD pattern in this record (copper Kα).
Lines closer than 0.1° are merged.

Atomic structure:
```
data_CeNpH
_cell_length_a 6.345
_cell_length_b 15.870
_cell_length_c 5.944
_cell_angle_alpha 90.00
_cell_angle_beta 90.00
_cell_angle_gamma 90.00
_symmetry_space_group_name_H-M 'I m a 2'
_symmetry_Int_Tables_number 46
loop_
_symmetry_equiv_pos_as_xyz
'x,y,z'
'-x,-y,z'
'-x+1/2,y,z'
'x+1/2,-y,z'
'x+1/2,y+1/2,z+1/2'
'-x+1/2,-y+1/2,z+1/2'
'-x,y+1/2,z+1/2'
'x,-y+1/2,z+1/2'
loop_
_atom_site_label
_atom_site_type_symbol
_atom_site_fract_x
_atom_site_fract_y
_atom_site_fract_z
_atom_site_occupancy
Ce1 Ce 0.011 0.167 0.000 1
Ce2 Ce 0.250 0.539 0.097 1
Np1 Np 0.000 0.000 0.213 1
Np2 Np 0.063 0.160 0.560 1
H1 H 0.250 0.220 0.292 1
H2 H 0.250 0.560 0.496 1
H3 H 0.250 0.719 0.995 1
```

Most intense lines, 10 to 90 degrees two-theta, most intense first:
2.645 Å, I = 100
3.172 Å, I = 81
3.952 Å, I = 77
2.972 Å, I = 75
2.474 Å, I = 74
2.031 Å, I = 65

For CeH2OsO8, the PBE geometry in Alexandria gives the computed PXRD pattern in this record (copper Kα).
Lines closer than 0.1° are merged.

Atomic structure:
```
data_CeH2OsO8
_cell_length_a 4.629
_cell_length_b 4.833
_cell_length_c 6.401
_cell_angle_alpha 89.64
_cell_angle_beta 88.80
_cell_angle_gamma 62.40
_symmetry_space_group_name_H-M 'P -1'
_symmetry_Int_Tables_number 2
loop_
_symmetry_equiv_pos_as_xyz
'x,y,z'
'-x,-y,-z'
loop_
_atom_site_label
_atom_site_type_symbol
_atom_site_fract_x
_atom_site_fract_y
_atom_site_fract_z
_atom_site_occupancy
Ce1 Ce 0.000 0.000 0.000 1
H1 H 0.035 0.507 0.284 1
Os1 Os 0.500 0.500 0.500 1
O1 O 0.152 0.636 0.286 1
O2 O 0.196 0.664 0.718 1
O3 O 0.419 0.163 0.976 1
O4 O 0.428 0.929 0.438 1
```

Most intense lines, 10 to 90 degrees two-theta, most intense first:
3.559 Å, I = 100
4.041 Å, I = 58
3.485 Å, I = 45
3.421 Å, I = 43
3.200 Å, I = 37
2.251 Å, I = 20